Record 1
This entry pairs a crystal structure of PmFe4Ge8 with its calculated powder diffraction line list. Radiation: a wavelength of 1.5418 Å. Structure: a cell relaxed with PBE.
Neutral-atom scattering factors, no anomalous dispersion.

Crystal structure
Lattice parameters (Å, degrees): 8.829 8.829 5.254 90.00 90.00 90.00
Space group I4/mmm (No. 139)
One atom of each set of equivalent atoms:
Pm (0.000, 0.000, 0.000) x2
Fe (0.250, 0.250, 0.250) x8
Ge (0.000, 0.212, 0.500) x8
Ge (0.000, 0.343, 0.000) x8

Top 10 peaks for 15° ≤ 2θ ≤ 90°, most intense first:
40.65°, d = 2.219 Å, rel. 1000, hkl 3 2 1; 39.94°, d = 2.258 Å, rel. 575, hkl 2 0 2; 34.95°, d = 2.568 Å, rel. 536, hkl 3 0 1; 40.89°, d = 2.207 Å, rel. 494, hkl 4 0 0; 45.11°, d = 2.010 Å, rel. 370, hkl 2 2 2; 34.13°, d = 2.627 Å, rel. 243, hkl 0 0 2; 65.53°, d = 1.424 Å, rel. 239, hkl 3 2 3; 73.81°, d = 1.284 Å, rel. 235, hkl 6 0 2; 74.29°, d = 1.277 Å, rel. 230, hkl 6 3 1; 45.97°, d = 1.974 Å, rel. 138, hkl 4 2 0

---

Record 2
This entry pairs a crystal structure of Pm3Fe3Ge8 with its calculated powder diffraction line list. Radiation: a wavelength of 1.5418 Å. Structure: a cell relaxed with PBE.
Neutral-atom scattering factors, no anomalous dispersion.

Crystal structure
Lattice parameters (Å, degrees): 15.890 4.372 8.439 90.00 117.31 90.00
Space group C2/m (No. 12)
One atom of each set of equivalent atoms:
Pm (0.000, 0.000, 0.000) x2
Pm (0.216, 0.500, 0.677) x4
Fe (0.000, 0.000, 0.500) x2
Fe (0.168, 0.500, 0.002) x4
Ge (0.024, 0.500, 0.703) x4
Ge (0.118, 0.000, 0.405) x4
Ge (0.136, 0.500, 0.245) x4
Ge (0.161, 0.000, 0.883) x4

Top 10 peaks for 15° ≤ 2θ ≤ 90°, most intense first:
34.24°, d = 2.619 Å, rel. 1000, hkl 1 1 2; 35.00°, d = 2.563 Å, rel. 563, hkl 5 1 -1; 41.30°, d = 2.186 Å, rel. 501, hkl 0 2 0; 34.47°, d = 2.602 Å, rel. 263, hkl 6 0 -2; 38.13°, d = 2.360 Å, rel. 228, hkl 3 1 -3; 45.38°, d = 1.998 Å, rel. 218, hkl 6 0 1; 41.15°, d = 2.194 Å, rel. 217, hkl 5 1 -3; 33.07°, d = 2.708 Å, rel. 170, hkl 4 0 -3; 63.02°, d = 1.475 Å, rel. 161, hkl 6 2 1; 35.93°, d = 2.499 Å, rel. 146, hkl 0 0 3

---

Record 3
This entry pairs a crystal structure of Pm3Fe2Ge7 with its calculated powder diffraction line list. Radiation: a wavelength of 1.5418 Å. Structure: a cell relaxed with PBE.
Neutral-atom scattering factors, no anomalous dispersion.

Crystal structure
Lattice parameters (Å, degrees): 4.266 4.289 12.869 90.00 99.54 90.00
Space group P2/m (No. 10)
One atom of each set of equivalent atoms:
Pm (0.000, 0.000, 0.000) x1
Pm (0.316, 0.500, 0.631) x2
Fe (0.127, 0.000, 0.254) x2
Ge (0.089, 0.500, 0.181) x2
Ge (0.218, 0.000, 0.437) x2
Ge (0.410, 0.000, 0.820) x2
Ge (0.500, 0.500, 0.000) x1

Top 10 peaks for 15° ≤ 2θ ≤ 90°, most intense first:
34.52°, d = 2.598 Å, rel. 1000, hkl 1 1 -3; 42.14°, d = 2.145 Å, rel. 253, hkl 0 2 0; 42.37°, d = 2.133 Å, rel. 249, hkl 2 0 -1; 61.29°, d = 1.512 Å, rel. 164, hkl 2 2 -1; 35.36°, d = 2.538 Å, rel. 161, hkl 0 0 5; 35.18°, d = 2.551 Å, rel. 161, hkl 0 1 4; 29.72°, d = 3.006 Å, rel. 135, hkl 0 1 3; 72.46°, d = 1.304 Å, rel. 134, hkl 3 1 -4; 72.12°, d = 1.310 Å, rel. 116, hkl 1 3 -3; 70.31°, d = 1.339 Å, rel. 116, hkl 1 1 8